Structure and calculated powder diffraction line list of Mo4Os5 (a PBE-relaxed structure; Cu Kα (weighted mean of Kα1 and Kα2)).

The 10 most intense peaks (10° ≤ 2θ ≤ 80°), by intensity:
2θ (°), d_spacing, intensity
39.79, 2.265, 100.0
45.90, 1.977, 32.9
67.81, 1.382, 20.6
47.01, 1.933, 15.7
14.94, 5.931, 14.0
66.93, 1.398, 10.5
33.28, 2.692, 4.7
50.71, 1.800, 4.5
48.54, 1.876, 1.6
49.61, 1.838, 1.5

Structure:
```
Mo4Os5
1.0
-4.1939 4.1939 1.9329
4.1939 -4.1939 1.9329
4.1939 4.1939 -1.9329
Mo Os
4 5
Cartesian
2.6870 0.0000 0.0000
5.7009 0.0000 0.0000
0.0000 2.6870 0.0000
0.0000 5.7009 0.0000
0.0000 0.0000 0.0000
2.8163 2.8163 0.0000
1.3776 -1.3776 1.9329
-1.3776 1.3776 1.9329
1.3776 1.3776 1.9329
```

---

Structure and calculated powder diffraction line list of Mo2Os5 (a PBE-relaxed structure; Cu Kα (weighted mean of Kα1 and Kα2)).

The 10 most intense peaks (10° ≤ 2θ ≤ 80°), by intensity:
2θ (°), d_spacing, intensity
42.86, 2.110, 100.0
40.84, 2.210, 25.3
37.45, 2.401, 24.3
75.71, 1.256, 12.4
67.52, 1.387, 11.9
56.57, 1.627, 9.7
75.83, 1.255, 6.2
67.65, 1.385, 5.8
56.67, 1.624, 4.9
23.89, 3.725, 4.2

Structure:
```
Mo2Os5
1.0
6.0718 -2.4041 0.0000
6.0718 2.4041 0.0000
-0.5763 0.0000 7.0564
Mo Os
4 10
Cartesian
4.6731 1.6087 6.3074
6.6060 1.6087 4.2772
4.9613 -1.6087 2.7792
6.8941 -1.6087 0.7490
2.0966 0.7978 5.7647
3.9855 0.8019 3.7627
5.9277 0.8062 1.7641
2.3848 -0.7978 2.2365
7.2936 0.8019 6.8220
4.2737 -0.8019 0.2345
9.1824 0.7978 4.8199
5.6395 -0.8062 5.2923
7.5817 -0.8019 3.2938
9.4706 -0.7978 1.2917
```